Calculated X-ray powder pattern
Compound: TiVAgO5
Radiation: Cu Kα, 1.54184 Å
Structure: a cell relaxed with PBE+U
No peak broadening, texture or thermal motion is included.

Crystal structure
a = 7.2565 Å, b = 8.8830 Å, c = 7.3723 Å
α = 90.00°, β = 114.69°, γ = 90.00°
Space group C2/c (No. 15)
Symmetry-distinct sites (fractional):
1 Ti 0.0000 0.0000 0.0000
2 V 0.0000 0.3333 0.2500
3 Ag 0.0000 0.3166 0.7500
4 O 0.0000 0.0541 0.7500
5 O 0.0696 0.2157 0.0999
6 O 0.2052 0.4473 0.3966

Peak list (8 most intense, 2θ = 10–90°, low angle first)
- 2θ = 26.29°, I 81
- 2θ = 26.62°, I 27
- 2θ = 27.05°, I 100
- 2θ = 29.00°, I 27
- 2θ = 33.17°, I 86
- 2θ = 33.52°, I 45
- 2θ = 49.69°, I 35
- 2θ = 51.81°, I 30